Computed powder diffractogram of SrSnH6O6 for Cu Kα, from DFT lattice parameters and positions (GGA-PBE).

Crystal structure
a = 9.7104 Å, b = 6.1126 Å, c = 11.0801 Å
α = 90.00°, β = 121.13°, γ = 90.00°
Space group P2_1/c (No. 14)
Asymmetric unit:
Sr 0.1564 0.0039 0.2184 [4 per cell]
Sn 0.0000 0.0000 0.5000 [2 per cell]
Sn 0.5000 0.0000 0.0000 [2 per cell]
H 0.1354 0.5079 0.2729 [4 per cell]
H 0.1931 0.7202 0.4817 [4 per cell]
H 0.2628 0.2262 0.9722 [4 per cell]
H 0.3066 0.0940 0.6675 [4 per cell]
H 0.4131 0.6084 0.0223 [4 per cell]
H 0.4959 0.1550 0.2157 [4 per cell]
O 0.0418 0.5926 0.1990 [4 per cell]
O 0.1018 0.6995 0.4966 [4 per cell]
O 0.2134 0.1777 0.5913 [4 per cell]
O 0.2896 0.1835 0.8993 [4 per cell]
O 0.3572 0.7123 0.9453 [4 per cell]
O 0.4885 0.5044 0.3046 [4 per cell]

Main lines, by angle (10° ≤ 2θ ≤ 90°):
Position (°2θ)	intensity
10.64	23
17.57	21
19.83	71
22.75	100
28.50	64
29.22	29
32.12	26
35.57	31
44.19	34
48.11	21